Computed XRD peak list
Compound: TlCl3F12
Radiation: Cu Kα (λ = 1.5418 Å)
Structure: the PBE geometry in Alexandria
Intensities are scaled so that the largest is 100.

Unit cell a=8.469 b=8.469 c=8.469 alpha=79.42 beta=79.42 gamma=79.42
Fractional positions:
Tl1 0.000 0.000 0.000
Tl2 0.500 0.500 0.500
Cl1 0.082 0.751 0.418
Cl2 0.251 0.582 0.918
Cl3 0.418 0.082 0.751
Cl4 0.582 0.918 0.251
Cl5 0.751 0.418 0.082
Cl6 0.918 0.251 0.582
F1 0.043 0.628 0.596
F2 0.096 0.128 0.543
F3 0.104 0.797 0.864
F4 0.128 0.543 0.096
F5 0.137 0.895 0.202
F6 0.202 0.137 0.895
F7 0.297 0.604 0.364
F8 0.364 0.297 0.604
F9 0.375 0.405 0.955
F10 0.395 0.637 0.702
F11 0.405 0.955 0.375
F12 0.455 0.905 0.875
F13 0.543 0.096 0.128
F14 0.596 0.043 0.628
F15 0.604 0.364 0.297
F16 0.628 0.596 0.043
F17 0.637 0.702 0.395
F18 0.702 0.395 0.637
F19 0.797 0.864 0.104
F20 0.864 0.104 0.797
F21 0.875 0.455 0.905
F22 0.895 0.202 0.137
F23 0.905 0.875 0.455
F24 0.955 0.375 0.405

Principal peaks in the range 10 to 90 degrees two-theta, low angle first:
2theta	I/Imax
14.00	100.0
16.38	26.3
21.61	40.5
22.63	27.5
22.81	30.8
27.24	50.9
28.58	19.6
35.52	32.5
40.59	29.1
55.23	20.4

Computed XRD peak list
Compound: TlCl2F6
Radiation: Cu Kα (λ = 1.5418 Å)
Structure: the PBE geometry in Alexandria
Intensities are scaled so that the largest is 100.

Unit cell a=9.017 b=7.222 c=10.118 alpha=59.93 beta=43.88 gamma=76.19
Fractional positions:
Tl1 0.000 0.000 0.000
Tl2 0.250 0.250 0.250
Cl1 0.152 0.575 0.796
Cl2 0.454 0.774 0.098
Cl3 0.575 0.152 0.476
Cl4 0.774 0.454 0.675
F1 0.007 0.862 0.224
F2 0.026 0.343 0.243
F3 0.051 0.416 0.488
F4 0.106 0.384 0.754
F5 0.205 0.762 0.834
F6 0.343 0.026 0.388
F7 0.384 0.106 0.757
F8 0.416 0.051 0.045
F9 0.493 0.496 0.866
F10 0.496 0.493 0.144
F11 0.762 0.205 0.199
F12 0.862 0.007 0.907

Principal peaks in the range 10 to 90 degrees two-theta, low angle first:
2theta	I/Imax
14.48	100.0
18.29	25.6
21.24	49.7
21.92	28.7
25.12	32.7
25.40	42.8
27.00	16.8
35.04	17.1
35.39	17.4
39.14	20.2